Diffraction record for Li7Si2. The PXRD pattern is calculated, not measured: it uses a cell relaxed with PBE and Cu Kα.
Neutral-atom scattering factors, no anomalous dispersion.

Main lines, sorted by position (10° ≤ 2θ ≤ 90°):
d [Å]  2θ/deg  I_rel  h k l
4.229  21.01  66  1 3 0
3.884  22.90  33  2 1 0
3.838  23.18  41  0 2 1
3.784  23.51  100  1 1 1
3.464  25.72  28  1 2 1
2.238  40.30  52  0 0 2
2.198  41.06  76  3 2 1
2.174  41.53  74  0 6 1
2.112  42.81  64  2 5 1
2.059  43.97  27  1 7 0

Structure:
```
Li7Si2
1.0
8.0458 0.0000 0.0000
0.0000 14.9118 0.0000
0.0000 0.0000 4.4763
Li Si
28 8
Cartesian
0.0000 0.0000 0.0000
0.0000 7.4559 2.2382
0.6906 3.6095 2.2382
0.9338 12.0855 0.0000
0.9702 9.6021 2.2382
1.3998 7.6403 0.0000
1.6384 2.4735 0.0000
1.8804 13.3787 2.2382
2.1425 5.9227 2.2382
2.3845 9.9294 0.0000
2.6231 0.1843 0.0000
3.0527 2.1462 2.2382
3.0891 4.6296 0.0000
3.3323 11.0654 2.2382
4.0229 0.0000 2.2382
4.0229 7.4559 0.0000
4.7135 3.8464 2.2382
4.9568 10.2822 0.0000
4.9931 12.7656 2.2382
5.4227 14.7275 0.0000
5.6613 4.9824 0.0000
5.9033 8.9891 2.2382
6.1655 1.5332 2.2382
6.4074 12.4383 0.0000
6.6460 7.2716 0.0000
7.0756 5.3097 2.2382
7.1120 2.8263 0.0000
7.3552 11.3023 2.2382
0.4618 5.1623 0.0000
0.8197 0.9518 2.2382
3.2032 8.4078 2.2382
3.5611 12.6182 0.0000
4.4847 2.2937 0.0000
4.8426 6.5041 2.2382
7.2262 13.9600 2.2382
7.5840 9.7496 0.0000
```

***

Diffraction record for Gd2ReC2. The PXRD pattern is calculated, not measured: it uses a cell relaxed with PBE and Cu Kα.
Neutral-atom scattering factors, no anomalous dispersion.

Main lines, sorted by position (10° ≤ 2θ ≤ 90°):
d [Å]  2θ/deg  I_rel  h k l
2.964  30.15  18  1 0 3
2.793  32.05  100  0 1 3
2.752  32.54  25  2 0 2
2.684  33.38  99  2 1 1
2.597  34.54  68  0 2 0
2.574  34.85  57  1 1 3
1.889  48.18  16  2 2 2
1.572  58.74  18  3 1 4
1.536  60.27  26  0 3 3
1.515  61.15  18  2 3 1

Structure:
```
Gd2ReC2
1.0
6.6065 0.0000 0.0000
0.0000 5.1935 0.0000
0.0000 0.0000 9.9502
Gd Re C
8 4 8
Cartesian
0.1948 1.2984 2.1470
1.2128 1.2984 5.5084
2.0905 3.8951 0.5333
3.1085 3.8951 7.1221
3.4981 1.2984 2.8281
4.5160 1.2984 9.4169
5.3937 3.8951 4.4418
6.4117 3.8951 7.8033
1.4795 1.2984 8.5936
1.8238 3.8951 3.6185
4.7827 1.2984 6.3317
5.1271 3.8951 1.3566
0.2742 3.8951 2.4010
1.1860 3.8951 5.4430
2.1173 1.2984 0.4679
3.0290 1.2984 7.3761
3.5775 3.8951 2.5742
4.4892 3.8951 9.4823
5.4206 1.2984 4.5072
6.3323 1.2984 7.5493
```

***

Diffraction record for LiP4Ru2O14. The PXRD pattern is calculated, not measured: it uses a cell relaxed with PBE and Cu Kα.
Neutral-atom scattering factors, no anomalous dispersion.

Main lines, sorted by position (10° ≤ 2θ ≤ 90°):
d [Å]  2θ/deg  I_rel  h k l
5.246  16.90  100  0 1 -1
5.030  17.63  59  0 1 1
4.118  21.58  17  1 0 -1
3.927  22.64  45  1 0 1
3.856  23.07  14  1 -1 1
3.402  26.20  27  1 1 0
3.007  29.71  49  -1 1 2
2.960  30.20  37  1 -2 1
2.936  30.44  29  1 -1 2
2.514  35.71  15  0 2 2

Structure:
```
LiP4Ru2O14
1.0
4.8606 0.0000 0.0000
-1.9789 6.7260 0.0000
-0.3531 -0.3403 7.9586
Li P Ru O
1 4 2 14
Cartesian
0.0000 0.0000 0.0000
-1.3779 3.9644 6.0522
0.2076 5.0944 2.3553
2.3210 1.2913 5.6034
3.9066 2.4213 1.9064
-0.1765 -0.1702 3.9793
1.4408 3.3630 0.0000
-1.2984 5.1673 5.1516
-0.1022 2.1396 0.6327
-1.0369 6.0152 2.3252
-0.2570 3.5974 2.7366
0.0557 3.4980 6.3398
1.3164 1.0315 4.4827
0.7995 5.0844 0.9286
1.7291 1.3013 7.0301
1.2123 5.3541 3.4760
2.4729 2.8877 1.6189
2.7856 2.7883 5.2220
3.5655 0.3705 5.6335
2.6309 4.2461 7.3260
3.8270 1.2183 2.8070
```

***

Repeat the second record exactly.
Diffraction record for Gd2ReC2. The PXRD pattern is calculated, not measured: it uses a cell relaxed with PBE and Cu Kα.
Neutral-atom scattering factors, no anomalous dispersion.

Main lines, sorted by position (10° ≤ 2θ ≤ 90°):
d [Å]  2θ/deg  I_rel  h k l
2.964  30.15  18  1 0 3
2.793  32.05  100  0 1 3
2.752  32.54  25  2 0 2
2.684  33.38  99  2 1 1
2.597  34.54  68  0 2 0
2.574  34.85  57  1 1 3
1.889  48.18  16  2 2 2
1.572  58.74  18  3 1 4
1.536  60.27  26  0 3 3
1.515  61.15  18  2 3 1

Structure:
```
Gd2ReC2
1.0
6.6065 0.0000 0.0000
0.0000 5.1935 0.0000
0.0000 0.0000 9.9502
Gd Re C
8 4 8
Cartesian
0.1948 1.2984 2.1470
1.2128 1.2984 5.5084
2.0905 3.8951 0.5333
3.1085 3.8951 7.1221
3.4981 1.2984 2.8281
4.5160 1.2984 9.4169
5.3937 3.8951 4.4418
6.4117 3.8951 7.8033
1.4795 1.2984 8.5936
1.8238 3.8951 3.6185
4.7827 1.2984 6.3317
5.1271 3.8951 1.3566
0.2742 3.8951 2.4010
1.1860 3.8951 5.4430
2.1173 1.2984 0.4679
3.0290 1.2984 7.3761
3.5775 3.8951 2.5742
4.4892 3.8951 9.4823
5.4206 1.2984 4.5072
6.3323 1.2984 7.5493
```